No. 1
Calculated X-ray powder pattern
Compound: Co2SbPb
Radiation: a wavelength of 1.5418 Å
Structure: DFT lattice parameters and positions (GGA-PBE)
Kinematic intensities with the Lorentz-polarization factor, no thermal factor.

Structure:
```
data_Co2SbPb
_symmetry_space_group_name_H-M 'P 1'
_symmetry_Int_Tables_number 1
_symmetry_space_group_name_Hall 'P 1'
_cell_length_a 6.5958
_cell_length_b 6.5958
_cell_length_c 6.5958
_cell_angle_alpha 35.05
_cell_angle_beta 35.05
_cell_angle_gamma 35.05
loop_
_atom_site_label
_atom_site_type_symbol
_atom_site_fract_x
_atom_site_fract_y
_atom_site_fract_z
Co1 Co 0.0000 0.0000 0.0000
Co2 Co 0.3247 0.3247 0.3247
Sb1 Sb 0.5845 0.5845 0.5845
Pb1 Pb 0.7656 0.7656 0.7656
```

Peak list (8 most intense, 10° ≤ 2θ ≤ 90°, low angle first)
2θ (°)	intensity
26.35	78
28.87	21
32.40	87
35.59	100
43.09	38
45.68	78
54.95	23
59.21	23

No. 2
Calculated X-ray powder pattern
Compound: DyEr2TmTl2
Radiation: a wavelength of 1.5418 Å
Structure: DFT lattice parameters and positions (GGA-PBE)
Kinematic intensities with the Lorentz-polarization factor, no thermal factor.

Structure:
```
data_DyEr2TmTl2
_symmetry_space_group_name_H-M 'P 1'
_symmetry_Int_Tables_number 1
_symmetry_space_group_name_Hall 'P 1'
_cell_length_a 5.0453
_cell_length_b 9.8741
_cell_length_c 6.7982
_cell_angle_alpha 90.00
_cell_angle_beta 90.00
_cell_angle_gamma 90.00
loop_
_atom_site_label
_atom_site_type_symbol
_atom_site_fract_x
_atom_site_fract_y
_atom_site_fract_z
Dy1 Dy 0.0000 0.0430 0.0000
Dy2 Dy 0.0000 0.9570 0.5000
Er1 Er 0.0000 0.3132 0.3782
Er2 Er 0.0000 0.6868 0.8782
Er3 Er 0.5000 0.4564 0.0935
Er4 Er 0.5000 0.5436 0.5935
Tm1 Tm 0.5000 0.1901 0.7163
Tm2 Tm 0.5000 0.8099 0.2163
Tl1 Tl 0.0000 0.3667 0.8389
Tl2 Tl 0.0000 0.6333 0.3389
Tl3 Tl 0.5000 0.1320 0.2571
Tl4 Tl 0.5000 0.8680 0.7571
```

Peak list (8 most intense, 10° ≤ 2θ ≤ 90°, low angle first)
2θ (°)	intensity
30.17	21
31.74	64
31.97	22
32.48	100
33.05	84
35.13	39
35.59	61
38.06	27

No. 3
Calculated X-ray powder pattern
Compound: Li7Cd4In
Radiation: a wavelength of 1.5418 Å
Structure: DFT lattice parameters and positions (GGA-PBE)
Kinematic intensities with the Lorentz-polarization factor, no thermal factor.

Structure:
```
data_Li7Cd4In
_symmetry_space_group_name_H-M 'P 1'
_symmetry_Int_Tables_number 1
_symmetry_space_group_name_Hall 'P 1'
_cell_length_a 4.7237
_cell_length_b 4.7237
_cell_length_c 11.3896
_cell_angle_alpha 90.00
_cell_angle_beta 90.00
_cell_angle_gamma 120.00
loop_
_atom_site_label
_atom_site_type_symbol
_atom_site_fract_x
_atom_site_fract_y
_atom_site_fract_z
Li1 Li 0.0000 0.0000 0.0000
Li2 Li 0.0000 0.0000 0.2472
Li3 Li 0.0000 0.0000 0.7528
Li4 Li 0.3333 0.6667 0.1700
Li5 Li 0.3333 0.6667 0.4212
Li6 Li 0.6667 0.3333 0.5788
Li7 Li 0.6667 0.3333 0.8300
Cd1 Cd 0.3333 0.6667 0.6694
Cd2 Cd 0.3333 0.6667 0.9254
Cd3 Cd 0.6667 0.3333 0.0746
Cd4 Cd 0.6667 0.3333 0.3306
In1 In 0.0000 0.0000 0.5000
```

Peak list (8 most intense, 10° ≤ 2θ ≤ 90°, low angle first)
2θ (°)	intensity
23.10	100
32.17	44
38.10	58
38.52	59
45.03	17
55.30	20
56.09	14
69.13	20

No. 4
Calculated X-ray powder pattern
Compound: LiMgTcSn2
Radiation: a wavelength of 1.5418 Å
Structure: DFT lattice parameters and positions (GGA-PBE)
Kinematic intensities with the Lorentz-polarization factor, no thermal factor.

Structure:
```
data_LiMgTcSn2
_symmetry_space_group_name_H-M 'P 1'
_symmetry_Int_Tables_number 1
_symmetry_space_group_name_Hall 'P 1'
_cell_length_a 5.2856
_cell_length_b 5.2856
_cell_length_c 4.9180
_cell_angle_alpha 90.00
_cell_angle_beta 90.00
_cell_angle_gamma 90.00
loop_
_atom_site_label
_atom_site_type_symbol
_atom_site_fract_x
_atom_site_fract_y
_atom_site_fract_z
Li1 Li 0.0000 0.0000 0.0000
Mg1 Mg 0.5000 0.5000 0.5000
Tc1 Tc 0.5000 0.5000 0.0000
Sn1 Sn 0.0000 0.5000 0.5000
Sn2 Sn 0.5000 0.0000 0.5000
```

Peak list (8 most intense, 10° ≤ 2θ ≤ 90°, low angle first)
2θ (°)	intensity
16.77	30
18.04	21
30.03	100
33.92	49
36.54	20
48.73	18
50.71	32
58.31	31

No. 5
Calculated X-ray powder pattern
Compound: TbSc2Cl6
Radiation: a wavelength of 1.5418 Å
Structure: DFT lattice parameters and positions (GGA-PBE)
Kinematic intensities with the Lorentz-polarization factor, no thermal factor.

Structure:
```
data_TbSc2Cl6
_symmetry_space_group_name_H-M 'P 1'
_symmetry_Int_Tables_number 1
_symmetry_space_group_name_Hall 'P 1'
_cell_length_a 7.9514
_cell_length_b 7.9514
_cell_length_c 7.9514
_cell_angle_alpha 49.61
_cell_angle_beta 49.61
_cell_angle_gamma 49.61
loop_
_atom_site_label
_atom_site_type_symbol
_atom_site_fract_x
_atom_site_fract_y
_atom_site_fract_z
Tb1 Tb 0.0000 0.0000 0.0000
Sc1 Sc 0.5939 0.5939 0.5939
Sc2 Sc 0.7390 0.7390 0.7390
Cl1 Cl 0.1136 0.7580 0.3806
Cl2 Cl 0.2077 0.5948 0.9375
Cl3 Cl 0.3806 0.1136 0.7580
Cl4 Cl 0.5948 0.9375 0.2077
Cl5 Cl 0.7580 0.3806 0.1136
Cl6 Cl 0.9375 0.2077 0.5948
```

Peak list (8 most intense, 10° ≤ 2θ ≤ 90°, low angle first)
2θ (°)	intensity
12.73	52
15.92	71
17.55	58
22.97	35
26.34	31
29.70	100
37.86	37
47.19	37

No. 6
Calculated X-ray powder pattern
Compound: MgCd2F4
Radiation: a wavelength of 1.5418 Å
Structure: DFT lattice parameters and positions (GGA-PBE)
Kinematic intensities with the Lorentz-polarization factor, no thermal factor.

Structure:
```
data_MgCd2F4
_symmetry_space_group_name_H-M 'P 1'
_symmetry_Int_Tables_number 1
_symmetry_space_group_name_Hall 'P 1'
_cell_length_a 7.3632
_cell_length_b 7.3632
_cell_length_c 7.3632
_cell_angle_alpha 149.21
_cell_angle_beta 149.21
_cell_angle_gamma 44.11
loop_
_atom_site_label
_atom_site_type_symbol
_atom_site_fract_x
_atom_site_fract_y
_atom_site_fract_z
Mg1 Mg 0.0000 0.0000 0.0000
Cd1 Cd 0.3333 0.3333 0.0000
Cd2 Cd 0.6667 0.6667 0.0000
F1 F 0.0000 0.5000 0.5000
F2 F 0.1497 0.1497 0.0000
F3 F 0.5000 0.0000 0.5000
F4 F 0.8503 0.8503 0.0000
```

Peak list (8 most intense, 10° ≤ 2θ ≤ 90°, low angle first)
2θ (°)	intensity
30.14	100
32.38	57
35.02	28
39.62	26
46.45	34
52.06	27
56.37	34
62.66	24

No. 7
Calculated X-ray powder pattern
Compound: LiTbSn3
Radiation: a wavelength of 1.5418 Å
Structure: DFT lattice parameters and positions (GGA-PBE)
Kinematic intensities with the Lorentz-polarization factor, no thermal factor.

Structure:
```
data_LiTbSn3
_symmetry_space_group_name_H-M 'P 1'
_symmetry_Int_Tables_number 1
_symmetry_space_group_name_Hall 'P 1'
_cell_length_a 13.0315
_cell_length_b 6.1572
_cell_length_c 6.1895
_cell_angle_alpha 90.00
_cell_angle_beta 90.00
_cell_angle_gamma 90.00
loop_
_atom_site_label
_atom_site_type_symbol
_atom_site_fract_x
_atom_site_fract_y
_atom_site_fract_z
Li1 Li 0.1082 0.2500 0.0000
Li2 Li 0.1082 0.2500 0.5000
Li3 Li 0.8918 0.7500 0.0000
Li4 Li 0.8918 0.7500 0.5000
Tb1 Tb 0.3107 0.0037 0.2500
Tb2 Tb 0.3107 0.4963 0.7500
Tb3 Tb 0.6893 0.5037 0.2500
Tb4 Tb 0.6893 0.9963 0.7500
Sn1 Sn 0.0818 0.6817 0.7500
Sn2 Sn 0.0818 0.8183 0.2500
Sn3 Sn 0.2651 0.0008 0.7500
Sn4 Sn 0.2651 0.4992 0.2500
Sn5 Sn 0.4974 0.7500 0.0000
Sn6 Sn 0.4974 0.7500 0.5000
Sn7 Sn 0.5026 0.2500 0.0000
Sn8 Sn 0.5026 0.2500 0.5000
Sn9 Sn 0.7349 0.5008 0.7500
Sn10 Sn 0.7349 0.9992 0.2500
Sn11 Sn 0.9182 0.1817 0.7500
Sn12 Sn 0.9182 0.3183 0.2500
```

Peak list (8 most intense, 10° ≤ 2θ ≤ 90°, low angle first)
2θ (°)	intensity
28.85	32
32.02	55
32.16	100
34.39	76
35.62	45
35.75	43
41.37	34
41.97	41

No. 8
Calculated X-ray powder pattern
Compound: PmCd2I6
Radiation: a wavelength of 1.5418 Å
Structure: DFT lattice parameters and positions (GGA-PBE)
Kinematic intensities with the Lorentz-polarization factor, no thermal factor.

Structure:
```
data_PmCd2I6
_symmetry_space_group_name_H-M 'P 1'
_symmetry_Int_Tables_number 1
_symmetry_space_group_name_Hall 'P 1'
_cell_length_a 9.0907
_cell_length_b 9.0907
_cell_length_c 9.0907
_cell_angle_alpha 52.50
_cell_angle_beta 52.50
_cell_angle_gamma 52.50
loop_
_atom_site_label
_atom_site_type_symbol
_atom_site_fract_x
_atom_site_fract_y
_atom_site_fract_z
Pm1 Pm 0.0000 0.0000 0.0000
Cd1 Cd 0.6066 0.6066 0.6066
Cd2 Cd 0.7280 0.7280 0.7280
I1 I 0.0870 0.7760 0.3869
I2 I 0.2202 0.6108 0.9178
I3 I 0.3869 0.0870 0.7760
I4 I 0.6108 0.9178 0.2202
I5 I 0.7760 0.3869 0.0870
I6 I 0.9178 0.2202 0.6108
```

Peak list (8 most intense, 10° ≤ 2θ ≤ 90°, low angle first)
2θ (°)	intensity
13.26	21
22.76	26
24.90	100
31.96	20
38.79	38
41.29	23
45.45	20
46.65	16

No. 9
Calculated X-ray powder pattern
Compound: Tb3YAg4
Radiation: a wavelength of 1.5418 Å
Structure: DFT lattice parameters and positions (GGA-PBE)
Kinematic intensities with the Lorentz-polarization factor, no thermal factor.

Structure:
```
data_Tb3YAg4
_symmetry_space_group_name_H-M 'P 1'
_symmetry_Int_Tables_number 1
_symmetry_space_group_name_Hall 'P 1'
_cell_length_a 3.6309
_cell_length_b 5.1778
_cell_length_c 10.3571
_cell_angle_alpha 90.00
_cell_angle_beta 90.00
_cell_angle_gamma 90.00
loop_
_atom_site_label
_atom_site_type_symbol
_atom_site_fract_x
_atom_site_fract_y
_atom_site_fract_z
Tb1 Tb 0.0000 0.0000 0.0000
Tb2 Tb 0.0000 0.5000 0.2501
Tb3 Tb 0.0000 0.5000 0.7499
Y1 Y 0.0000 0.0000 0.5000
Ag1 Ag 0.5000 0.0000 0.2503
Ag2 Ag 0.5000 0.0000 0.7497
Ag3 Ag 0.5000 0.5000 0.0000
Ag4 Ag 0.5000 0.5000 0.5000
```

Peak list (8 most intense, 10° ≤ 2θ ≤ 90°, low angle first)
2θ (°)	intensity
34.65	51
34.80	100
49.81	18
50.26	9
62.19	36
62.48	18
73.46	11
83.53	16

No. 10
Calculated X-ray powder pattern
Compound: AlCrB4
Radiation: a wavelength of 1.5418 Å
Structure: DFT lattice parameters and positions (GGA-PBE)
Kinematic intensities with the Lorentz-polarization factor, no thermal factor.

Structure:
```
data_AlCrB4
_symmetry_space_group_name_H-M 'P 1'
_symmetry_Int_Tables_number 1
_symmetry_space_group_name_Hall 'P 1'
_cell_length_a 4.3377
_cell_length_b 4.3377
_cell_length_c 4.3377
_cell_angle_alpha 140.10
_cell_angle_beta 107.67
_cell_angle_gamma 85.94
loop_
_atom_site_label
_atom_site_type_symbol
_atom_site_fract_x
_atom_site_fract_y
_atom_site_fract_z
Al1 Al 0.0000 0.0000 0.0000
Cr1 Cr 0.5000 0.5000 0.0000
B1 B 0.0830 0.7481 0.3349
B2 B 0.4132 0.7481 0.6651
B3 B 0.5868 0.2519 0.3349
B4 B 0.9170 0.2519 0.6651
```

Peak list (8 most intense, 10° ≤ 2θ ≤ 90°, low angle first)
2θ (°)	intensity
22.31	19
28.11	16
35.03	51
45.51	100
58.13	10
62.84	23
69.71	12
80.95	16

No. 11
Calculated X-ray powder pattern
Compound: TbCu6O8
Radiation: a wavelength of 1.5418 Å
Structure: DFT lattice parameters and positions (GGA-PBE)
Kinematic intensities with the Lorentz-polarization factor, no thermal factor.

Structure:
```
data_TbCu6O8
_symmetry_space_group_name_H-M 'P 1'
_symmetry_Int_Tables_number 1
_symmetry_space_group_name_Hall 'P 1'
_cell_length_a 5.5272
_cell_length_b 5.5272
_cell_length_c 5.5272
_cell_angle_alpha 90.00
_cell_angle_beta 90.00
_cell_angle_gamma 90.00
loop_
_atom_site_label
_atom_site_type_symbol
_atom_site_fract_x
_atom_site_fract_y
_atom_site_fract_z
Tb1 Tb 0.0000 0.0000 0.0000
Cu1 Cu 0.0000 0.2633 0.5000
Cu2 Cu 0.0000 0.7367 0.5000
Cu3 Cu 0.2633 0.5000 0.0000
Cu4 Cu 0.5000 0.0000 0.2633
Cu5 Cu 0.5000 0.0000 0.7367
Cu6 Cu 0.7367 0.5000 0.0000
O1 O 0.2446 0.2446 0.2446
O2 O 0.2446 0.2446 0.7554
O3 O 0.2446 0.7554 0.2446
O4 O 0.2446 0.7554 0.7554
O5 O 0.7554 0.2446 0.2446
O6 O 0.7554 0.2446 0.7554
O7 O 0.7554 0.7554 0.2446
O8 O 0.7554 0.7554 0.7554
```

Peak list (8 most intense, 10° ≤ 2θ ≤ 90°, low angle first)
2θ (°)	intensity
16.04	44
27.96	26
36.35	100
39.95	69
60.38	26
62.92	36
67.82	17
79.46	18

No. 12
Calculated X-ray powder pattern
Compound: Tm8Ag3Bi2
Radiation: a wavelength of 1.5418 Å
Structure: DFT lattice parameters and positions (GGA-PBE)
Kinematic intensities with the Lorentz-polarization factor, no thermal factor.

Structure:
```
data_Tm8Ag3Bi2
_symmetry_space_group_name_H-M 'P 1'
_symmetry_Int_Tables_number 1
_symmetry_space_group_name_Hall 'P 1'
_cell_length_a 8.4724
_cell_length_b 8.4724
_cell_length_c 6.2046
_cell_angle_alpha 91.37
_cell_angle_beta 91.37
_cell_angle_gamma 57.16
loop_
_atom_site_label
_atom_site_type_symbol
_atom_site_fract_x
_atom_site_fract_y
_atom_site_fract_z
Tm1 Tm 0.0861 0.0861 0.3603
Tm2 Tm 0.0961 0.6870 0.1489
Tm3 Tm 0.3130 0.9039 0.8511
Tm4 Tm 0.3206 0.3206 0.6091
Tm5 Tm 0.6794 0.6794 0.3909
Tm6 Tm 0.6870 0.0961 0.1489
Tm7 Tm 0.9039 0.3130 0.8511
Tm8 Tm 0.9139 0.9139 0.6397
Ag1 Ag 0.3280 0.6720 0.5000
Ag2 Ag 0.5000 0.5000 0.0000
Ag3 Ag 0.6720 0.3280 0.5000
Bi1 Bi 0.2604 0.2604 0.1052
Bi2 Bi 0.7396 0.7396 0.8948
```

Peak list (8 most intense, 10° ≤ 2θ ≤ 90°, low angle first)
2θ (°)	intensity
28.76	33
29.09	46
30.94	30
31.58	70
32.05	55
35.53	100
36.85	39
44.75	35

No. 13
Calculated X-ray powder pattern
Compound: Pr3DyIn3
Radiation: a wavelength of 1.5418 Å
Structure: DFT lattice parameters and positions (GGA-PBE)
Kinematic intensities with the Lorentz-polarization factor, no thermal factor.

Structure:
```
data_Pr3DyIn3
_symmetry_space_group_name_H-M 'P 1'
_symmetry_Int_Tables_number 1
_symmetry_space_group_name_Hall 'P 1'
_cell_length_a 9.5826
_cell_length_b 9.5826
_cell_length_c 9.5826
_cell_angle_alpha 90.00
_cell_angle_beta 90.00
_cell_angle_gamma 90.00
loop_
_atom_site_label
_atom_site_type_symbol
_atom_site_fract_x
_atom_site_fract_y
_atom_site_fract_z
Pr1 Pr 0.0685 0.4315 0.5685
Pr2 Pr 0.1685 0.8315 0.3315
Pr3 Pr 0.1777 0.1777 0.1777
Pr4 Pr 0.3223 0.8223 0.6777
Pr5 Pr 0.3315 0.1685 0.8315
Pr6 Pr 0.4315 0.5685 0.0685
Pr7 Pr 0.5685 0.0685 0.4315
Pr8 Pr 0.6685 0.6685 0.6685
Pr9 Pr 0.6777 0.3223 0.8223
Pr10 Pr 0.8223 0.6777 0.3223
Pr11 Pr 0.8315 0.3315 0.1685
Pr12 Pr 0.9315 0.9315 0.9315
Dy1 Dy 0.0774 0.5774 0.9226
Dy2 Dy 0.4226 0.4226 0.4226
Dy3 Dy 0.5774 0.9226 0.0774
Dy4 Dy 0.9226 0.0774 0.5774
In1 In 0.0062 0.2562 0.8673
In2 In 0.1327 0.5062 0.2438
In3 In 0.2438 0.1327 0.5062
In4 In 0.2562 0.8673 0.0062
In5 In 0.3673 0.4938 0.7438
In6 In 0.4938 0.7438 0.3673
In7 In 0.5062 0.2438 0.1327
In8 In 0.6327 0.9938 0.7562
In9 In 0.7438 0.3673 0.4938
In10 In 0.7562 0.6327 0.9938
In11 In 0.8673 0.0062 0.2562
In12 In 0.9938 0.7562 0.6327
```

Peak list (8 most intense, 10° ≤ 2θ ≤ 90°, low angle first)
2θ (°)	intensity
29.48	100
35.04	74
46.42	20
48.44	21
59.46	26
61.17	12
62.85	15
72.48	13